# Ti2HCSe4Cl16O5
Simulated X-ray diffraction stick pattern, Cu Kα (λ = 1.5418 Å). Input: a PBE-relaxed structure.
Lines closer than 0.1° are merged.

Structural model:
```
Ti2HCSe4Cl16O5
1.0
13.2238 0.0000 0.0000
0.0000 8.8873 0.0000
-11.5654 0.0000 14.1001
Ti H C Se Cl O
4 2 2 8 32 10
Direct
0.0000 0.0025 0.0000 Ti
0.0000 0.9975 0.5000 Ti
0.2214 0.0031 0.9492 Ti
0.2214 0.9969 0.4492 Ti
0.6872 0.1352 0.9918 H
0.6872 0.8648 0.4918 H
0.6261 0.2304 0.9783 C
0.6261 0.7696 0.4783 C
0.2793 0.1674 0.3133 Se
0.2793 0.8326 0.8133 Se
0.3596 0.2657 0.6129 Se
0.3596 0.7343 0.1129 Se
0.8608 0.2659 0.3363 Se
0.8608 0.7341 0.8363 Se
0.9415 0.1678 0.6362 Se
0.9415 0.8322 0.1362 Se
0.0217 0.2297 0.0644 Cl
0.0217 0.7703 0.5644 Cl
0.0454 0.1114 0.2956 Cl
0.0454 0.8886 0.7956 Cl
0.1743 0.1120 0.6534 Cl
0.1743 0.8880 0.1534 Cl
0.1984 0.2300 0.8847 Cl
0.1984 0.7700 0.3847 Cl
0.2818 0.4073 0.3459 Cl
0.2818 0.5927 0.8459 Cl
0.2866 0.4879 0.6130 Cl
0.2866 0.5121 0.1130 Cl
0.4149 0.0516 0.0994 Cl
0.4149 0.9484 0.5994 Cl
0.4588 0.1700 0.3288 Cl
0.4588 0.8300 0.8288 Cl
0.5291 0.3491 0.6269 Cl
0.5291 0.6509 0.1269 Cl
0.5461 0.3232 0.8737 Cl
0.5461 0.6768 0.3737 Cl
0.6565 0.3220 0.0720 Cl
0.6565 0.6780 0.5720 Cl
0.6916 0.3506 0.3226 Cl
0.6916 0.6494 0.8226 Cl
0.7620 0.1698 0.6211 Cl
0.7620 0.8302 0.1211 Cl
0.8052 0.0516 0.8502 Cl
0.8052 0.9484 0.3502 Cl
0.9346 0.4878 0.3369 Cl
0.9346 0.5122 0.8369 Cl
0.9383 0.4075 0.6030 Cl
0.9383 0.5925 0.1030 Cl
0.1103 0.0335 0.9746 O
0.1103 0.9665 0.4746 O
0.2474 0.2240 0.4975 O
0.2474 0.7760 0.9975 O
0.3386 0.0757 0.4139 O
0.3386 0.9243 0.9139 O
0.8811 0.0747 0.5358 O
0.8811 0.9253 0.0358 O
0.9726 0.2236 0.4518 O
0.9726 0.7764 0.9518 O
```

The 10 most intense peaks (2θ from 10° to 90°), low angle first:
d 7.518, rel. 87, (0 1 1); d 6.708, rel. 44, (1 1 0); d 5.107, rel. 100, (2 1 -1); d 4.800, rel. 26, (2 1 -3); d 4.155, rel. 95, (0 1 3); d 3.683, rel. 56, (3 1 -4); d 3.525, rel. 60, (0 0 4); d 2.652, rel. 41, (1 3 -3); d 2.519, rel. 36, (5 1 -5); d 2.168, rel. 29, (5 1 -1)